Calculated powder diffraction line list of Cu5Ag4 for Cu Ka, from DFT lattice parameters and positions (PBE).
No peak broadening, texture or thermal motion is included.

Main lines, sorted by position (5° ≤ 2θ ≤ 70°):
2θ = 26.9°, I 7.7
2θ = 40.0°, I 100.0
2θ = 40.3°, I 48.7
2θ = 40.8°, I 43.9
2θ = 46.8°, I 59.7
2θ = 47.0°, I 29.2
2θ = 67.5°, I 9.4
2θ = 68.1°, I 17.9
2θ = 68.8°, I 18.2
2θ = 69.1°, I 9.0

Structural model:
```
data_Cu5Ag4
_chemical_formula_sum 'Cu5 Ag4'
_space_group_name_H-M_alt 'P 1'
_space_group_IT_number 1
_cell_length_a 7.183
_cell_length_b 7.183
_cell_length_c 8.160
_cell_angle_alpha 123.83
_cell_angle_beta 123.83
_cell_angle_gamma 22.26
loop_
_space_group_symop_operation_xyz
'x,y,z'
loop_
_atom_site_label
_atom_site_fract_x
_atom_site_fract_y
_atom_site_fract_z
Cu1 0.000 0.000 0.000
Cu2 0.006 0.006 0.313
Cu3 0.341 0.341 0.990
Cu4 0.656 0.656 0.312
Cu5 0.665 0.665 0.642
Ag1 0.004 0.004 0.648
Ag2 0.329 0.329 0.656
Ag3 0.335 0.335 0.314
Ag4 0.666 0.666 0.984
```